Simulated X-ray powder pattern of HoI4 for Cu Ka, from a DFT-relaxed cell (GGA-PBE, OQMD).

Structure:
```
data_HoI4
_space_group_name_H-M_alt 'C 1 2/m 1'
_space_group_IT_number 12
_space_group_name_Hall '-C 2y'
_cell_length_a 7.772
_cell_length_b 13.222
_cell_length_c 10.168
_cell_angle_alpha 90.00
_cell_angle_beta 97.30
_cell_angle_gamma 90.00
loop_
_atom_site_label
_atom_site_type_symbol
_atom_site_fract_x
_atom_site_fract_y
_atom_site_fract_z
Ho1 Ho 0.000 0.173 0.000
I1 I 0.103 0.000 0.828
I2 I 0.148 0.500 0.442
I3 I 0.158 0.318 0.821
```

Largest 6 diffraction maxima, by angle, 15 to 90 degrees two-theta:
d/Å  I/Imax  hkl
5.529  70  0 2 1
5.296  48  1 1 1
3.505  43  1 3 1
3.457  45  2 0 1
3.145  100  1 3 -2
2.220  56  3 3 -1